Starting from a cell relaxed with PBE, the XRD peak list of Pm2Tm3Zn3 was simulated for Cu Ka.

Structure:
a b c (Å): 3.6189 5.0906 21.5976
angles (deg): 90.00 90.00 90.00
Space group Immm (No. 71)
One atom of each set of equivalent atoms:
Pm  0.0000  0.0000  0.2271
Tm  0.0000  0.0000  0.0000
Tm  0.0000  0.5000  0.1147
Zn  0.0000  0.0000  0.5000
Zn  0.0000  0.5000  0.3893

Most intense lines, 10° ≤ 2θ ≤ 80°, low angle first:
- (1 0 1), 24.95°, rel. 10
- (0 1 5), 27.07°, rel. 22
- (0 0 8), 33.18°, rel. 18
- (1 1 4), 34.65°, rel. 100
- (0 2 0), 35.26°, rel. 27
- (0 2 8), 49.20°, rel. 12
- (1 3 4), 62.89°, rel. 18
- (2 2 0), 63.03°, rel. 10